The following is a theoretical powder diffraction line list of SrNi4O2. It was derived from a crystal structure in Alexandria, relaxed with PBE+U, using Cu Kα (λ = 1.5418 Å).

The 10 most intense peaks (2θ from 5° to 70°), sorted by position:
| two_theta | Rel. int. | hkl |
| --- | --- | --- |
| 14.06 | 46 | 0 0 2 |
| 27.08 | 27 | 1 1 0 |
| 28.33 | 83 | 0 0 4 |
| 28.62 | 45 | 1 0 3 |
| 30.64 | 66 | 1 1 2 |
| 38.67 | 100 | 2 0 0 |
| 48.63 | 72 | 2 0 4 |
| 51.62 | 20 | 1 1 6 |
| 55.84 | 32 | 2 2 0 |
| 63.79 | 31 | 2 2 4 |

Structure:
```
data_SrNi4O2
_chemical_formula_sum 'Sr2 Ni8 O4'
_space_group_name_H-M_alt 'I 4/m m m'
_space_group_IT_number 139
_space_group_name_Hall '-I 4 2'
_cell_length_a 4.6565
_cell_length_b 4.6565
_cell_length_c 12.6007
_cell_angle_alpha 90.00
_cell_angle_beta 90.00
_cell_angle_gamma 90.00
loop_
_atom_site_label
_atom_site_type_symbol
_atom_site_fract_x
_atom_site_fract_y
_atom_site_fract_z
Sr1 Sr 0.0000 0.0000 0.0000
Ni1 Ni 0.0000 0.0000 0.2608
Ni2 Ni 0.0000 0.5000 0.0000
O1 O 0.0000 0.0000 0.4074
```